Entry 1:
The following is a simulated powder diffractogram of Ac2TiSb3Pd4. It was derived from a DFT-relaxed cell (PBE, Alexandria), using Cu Kα X-rays.

Cell and atoms:
Cell: 4.586 4.586 11.044 Å, 90.00 90.00 90.00°
Sites, in units of the cell vectors:
Ac1 0.000 0.500 0.242
Ac2 0.500 0.000 0.758
Ti1 0.000 0.000 0.500
Sb1 0.000 0.500 0.868
Sb2 0.500 0.000 0.132
Sb3 0.500 0.500 0.500
Pd1 0.000 0.000 0.000
Pd2 0.000 0.500 0.624
Pd3 0.500 0.000 0.376
Pd4 0.500 0.500 0.000

Principal peaks in the range 5° ≤ 2θ ≤ 70°, in order of falling intensity:
| Position (°2θ) | d (Å) | I_rel |
| --- | --- | --- |
| 32.01 | 2.796 | 1000 |
| 31.16 | 2.871 | 824 |
| 39.29 | 2.293 | 663 |
| 50.97 | 1.792 | 420 |
| 45.59 | 1.990 | 327 |
| 27.51 | 3.243 | 271 |
| 61.72 | 1.503 | 266 |
| 66.69 | 1.403 | 241 |

***

Entry 2:
The following is a simulated powder diffractogram of LiCe2PaSe4. It was derived from a DFT-relaxed cell (PBE, Alexandria), using Cu Kα X-rays.

Cell and atoms:
Cell: 7.093 4.099 7.184 Å, 90.00 109.32 90.00°
Sites, in units of the cell vectors:
Li1 0.000 0.000 0.000
Ce1 0.500 0.000 0.500
Ce2 0.500 0.500 0.000
Pa1 0.000 0.500 0.500
Se1 0.232 0.500 0.239
Se2 0.236 0.000 0.754
Se3 0.764 0.000 0.246
Se4 0.768 0.500 0.761

Principal peaks in the range 5° ≤ 2θ ≤ 70°, in order of falling intensity:
| Position (°2θ) | d (Å) | I_rel |
| --- | --- | --- |
| 30.73 | 2.910 | 1000 |
| 43.81 | 2.067 | 375 |
| 44.21 | 2.049 | 363 |
| 54.80 | 1.675 | 191 |
| 13.06 | 6.779 | 146 |
| 25.48 | 3.496 | 123 |
| 15.22 | 5.823 | 122 |
| 63.99 | 1.455 | 119 |

***

Entry 3:
The following is a simulated powder diffractogram of Ce3Pm2ErSb6. It was derived from a DFT-relaxed cell (PBE, Alexandria), using Cu Kα X-rays.

Cell and atoms:
Cell: 7.750 7.750 7.750 Å, 99.60 99.60 120.00°
Sites, in units of the cell vectors:
Ce1 0.000 0.000 0.000
Ce2 0.331 0.669 0.000
Ce3 0.669 0.331 0.000
Pm1 0.166 0.834 0.500
Pm2 0.834 0.166 0.500
Er1 0.500 0.500 0.500
Sb1 0.090 0.418 0.253
Sb2 0.255 0.255 0.749
Sb3 0.418 0.090 0.253
Sb4 0.582 0.910 0.747
Sb5 0.745 0.745 0.251
Sb6 0.910 0.582 0.747

Principal peaks in the range 5° ≤ 2θ ≤ 70°, in order of falling intensity:
| Position (°2θ) | d (Å) | I_rel |
| --- | --- | --- |
| 28.21 | 3.164 | 1000 |
| 40.31 | 2.237 | 763 |
| 66.03 | 1.415 | 349 |
| 49.93 | 1.827 | 273 |
| 58.33 | 1.582 | 127 |
| 24.36 | 3.653 | 17 |
| 47.67 | 1.908 | 9 |

***

Entry 4:
The following is a simulated powder diffractogram of PrYHoEr. It was derived from a DFT-relaxed cell (PBE, Alexandria), using Cu Kα X-rays.

Cell and atoms:
Cell: 12.430 5.863 3.774 Å, 90.00 107.61 90.00°
Sites, in units of the cell vectors:
Pr1 0.000 0.000 0.000
Pr2 0.500 0.500 0.000
Y1 0.236 0.500 0.241
Y2 0.736 0.000 0.241
Ho1 0.492 0.000 0.494
Ho2 0.992 0.500 0.494
Er1 0.254 0.000 0.758
Er2 0.754 0.500 0.758

Principal peaks in the range 5° ≤ 2θ ≤ 70°, in order of falling intensity:
| Position (°2θ) | d (Å) | I_rel |
| --- | --- | --- |
| 31.99 | 2.797 | 1000 |
| 30.17 | 2.962 | 286 |
| 30.49 | 2.932 | 286 |
| 55.14 | 1.666 | 213 |
| 43.43 | 2.084 | 211 |
| 54.75 | 1.677 | 207 |
| 66.89 | 1.399 | 116 |
| 58.14 | 1.587 | 91 |

***

Entry 5:
The following is a simulated powder diffractogram of NpPd3Au3. It was derived from a DFT-relaxed cell (PBE, Alexandria), using Cu Kα X-rays.

Cell and atoms:
Cell: 8.091 8.091 8.091 Å, 90.00 90.00 90.00°
Sites, in units of the cell vectors:
Np1 0.049 0.451 0.549
Np2 0.451 0.549 0.049
Np3 0.549 0.049 0.451
Np4 0.951 0.951 0.951
Pd1 0.005 0.314 0.894
Pd2 0.106 0.505 0.186
Pd3 0.186 0.106 0.505
Pd4 0.314 0.894 0.005
Pd5 0.394 0.495 0.686
Pd6 0.495 0.686 0.394
Pd7 0.505 0.186 0.106
Pd8 0.606 0.995 0.814
Pd9 0.686 0.394 0.495
Pd10 0.814 0.606 0.995
Pd11 0.894 0.005 0.314
Pd12 0.995 0.814 0.606
Au1 0.131 0.631 0.869
Au2 0.166 0.166 0.166
Au3 0.188 0.812 0.312
Au4 0.312 0.188 0.812
Au5 0.334 0.834 0.666
Au6 0.369 0.369 0.369
Au7 0.631 0.869 0.131
Au8 0.666 0.334 0.834
Au9 0.688 0.688 0.688
Au10 0.812 0.312 0.188
Au11 0.834 0.666 0.334
Au12 0.869 0.131 0.631

Principal peaks in the range 5° ≤ 2θ ≤ 70°, in order of falling intensity:
| Position (°2θ) | d (Å) | I_rel |
| --- | --- | --- |
| 41.77 | 2.162 | 1000 |
| 35.07 | 2.558 | 909 |
| 40.19 | 2.244 | 435 |
| 36.85 | 2.439 | 347 |
| 26.99 | 3.303 | 293 |
| 58.14 | 1.587 | 273 |
| 31.27 | 2.860 | 220 |
| 33.22 | 2.697 | 152 |

***

Entry 6:
The following is a simulated powder diffractogram of Pr6SmY5. It was derived from a DFT-relaxed cell (PBE, Alexandria), using Cu Kα X-rays.

Cell and atoms:
Cell: 9.644 9.644 9.644 Å, 148.76 116.08 72.87°
Sites, in units of the cell vectors:
Pr1 0.083 0.333 0.750
Pr2 0.250 0.000 0.250
Pr3 0.416 0.667 0.750
Pr4 0.584 0.333 0.250
Pr5 0.750 0.000 0.750
Pr6 0.917 0.667 0.250
Sm1 0.500 0.500 0.000
Y1 0.000 0.500 0.500
Y2 0.167 0.167 0.000
Y3 0.333 0.833 0.500
Y4 0.667 0.167 0.500
Y5 0.833 0.833 0.000

Principal peaks in the range 5° ≤ 2θ ≤ 70°, in order of falling intensity:
| Position (°2θ) | d (Å) | I_rel |
| --- | --- | --- |
| 30.02 | 2.977 | 1000 |
| 34.54 | 2.597 | 171 |
| 34.68 | 2.586 | 169 |
| 35.16 | 2.552 | 163 |
| 59.11 | 1.563 | 143 |
| 59.30 | 1.558 | 142 |
| 59.94 | 1.543 | 137 |
| 62.38 | 1.489 | 122 |

***

Entry 7:
The following is a simulated powder diffractogram of CaPr2Ag2. It was derived from a DFT-relaxed cell (PBE, Alexandria), using Cu Kα X-rays.

Cell and atoms:
Cell: 8.564 8.564 4.025 Å, 90.00 90.00 90.00°
Sites, in units of the cell vectors:
Ca1 0.000 0.000 0.000
Ca2 0.500 0.500 0.000
Pr1 0.163 0.337 0.500
Pr2 0.337 0.837 0.500
Pr3 0.663 0.163 0.500
Pr4 0.837 0.663 0.500
Ag1 0.127 0.627 0.000
Ag2 0.373 0.127 0.000
Ag3 0.627 0.873 0.000
Ag4 0.873 0.373 0.000

Principal peaks in the range 5° ≤ 2θ ≤ 70°, in order of falling intensity:
| Position (°2θ) | d (Å) | I_rel |
| --- | --- | --- |
| 32.26 | 2.775 | 1000 |
| 33.08 | 2.708 | 307 |
| 14.63 | 6.056 | 238 |
| 62.83 | 1.479 | 160 |
| 57.02 | 1.615 | 123 |
| 30.48 | 2.933 | 114 |
| 45.05 | 2.012 | 104 |
| 42.21 | 2.141 | 101 |

***

Entry 8:
The following is a simulated powder diffractogram of Zn4NiAu2. It was derived from a DFT-relaxed cell (PBE, Alexandria), using Cu Kα X-rays.

Cell and atoms:
Cell: 4.286 4.286 12.192 Å, 90.00 90.00 90.00°
Sites, in units of the cell vectors:
Zn1 0.000 0.500 0.106
Zn2 0.000 0.500 0.394
Zn3 0.000 0.500 0.606
Zn4 0.000 0.500 0.894
Zn5 0.500 0.000 0.106
Zn6 0.500 0.000 0.394
Zn7 0.500 0.000 0.606
Zn8 0.500 0.000 0.894
Ni1 0.000 0.000 0.000
Ni2 0.500 0.500 0.500
Au1 0.000 0.000 0.241
Au2 0.000 0.000 0.759
Au3 0.500 0.500 0.259
Au4 0.500 0.500 0.741

Principal peaks in the range 5° ≤ 2θ ≤ 70°, in order of falling intensity:
| Position (°2θ) | d (Å) | I_rel |
| --- | --- | --- |
| 42.04 | 2.149 | 1000 |
| 33.01 | 2.714 | 615 |
| 42.17 | 2.143 | 558 |
| 14.53 | 6.096 | 432 |
| 61.16 | 1.515 | 182 |
| 63.05 | 1.474 | 151 |
| 44.83 | 2.022 | 117 |
| 44.59 | 2.032 | 106 |

***

Entry 9:
The following is a simulated powder diffractogram of PmS5. It was derived from a DFT-relaxed cell (PBE, Alexandria), using Cu Kα X-rays.

Cell and atoms:
Cell: 4.134 11.001 7.488 Å, 90.00 104.47 90.00°
Sites, in units of the cell vectors:
Pm1 0.215 0.250 0.311
Pm2 0.785 0.750 0.689
S1 0.115 0.750 0.393
S2 0.124 0.067 0.592
S3 0.124 0.433 0.592
S4 0.380 0.654 0.904
S5 0.380 0.846 0.904
S6 0.620 0.154 0.096
S7 0.620 0.346 0.096
S8 0.876 0.567 0.408
S9 0.876 0.933 0.408
S10 0.885 0.250 0.607

Principal peaks in the range 5° ≤ 2θ ≤ 70°, in order of falling intensity:
| Position (°2θ) | d (Å) | I_rel |
| --- | --- | --- |
| 14.63 | 6.054 | 1000 |
| 16.11 | 5.501 | 605 |
| 33.17 | 2.701 | 384 |
| 32.51 | 2.754 | 320 |
| 12.21 | 7.251 | 310 |
| 28.03 | 3.184 | 270 |
| 27.25 | 3.272 | 268 |
| 39.29 | 2.293 | 253 |

***

Entry 10:
The following is a simulated powder diffractogram of TaP2F. It was derived from a DFT-relaxed cell (PBE, Alexandria), using Cu Kα X-rays.

Cell and atoms:
Cell: 6.123 6.123 6.123 Å, 90.00 90.00 90.00°
Sites, in units of the cell vectors:
Ta1 0.000 0.000 0.000
Ta2 0.000 0.500 0.500
Ta3 0.500 0.000 0.500
Ta4 0.500 0.500 0.000
P1 0.250 0.250 0.250
P2 0.250 0.250 0.750
P3 0.250 0.750 0.250
P4 0.250 0.750 0.750
P5 0.750 0.250 0.250
P6 0.750 0.250 0.750
P7 0.750 0.750 0.250
P8 0.750 0.750 0.750
F1 0.000 0.000 0.500
F2 0.000 0.500 0.000
F3 0.500 0.000 0.000
F4 0.500 0.500 0.500

Principal peaks in the range 5° ≤ 2θ ≤ 70°, in order of falling intensity:
| Position (°2θ) | d (Å) | I_rel |
| --- | --- | --- |
| 41.73 | 2.165 | 1000 |
| 25.19 | 3.535 | 940 |
| 49.37 | 1.846 | 484 |
| 29.17 | 3.061 | 363 |
| 66.57 | 1.405 | 205 |
| 60.48 | 1.531 | 163 |
| 68.54 | 1.369 | 131 |
| 51.72 | 1.767 | 104 |

***

Entry 11:
The following is a simulated powder diffractogram of Sr2ZnCd6Ag. It was derived from a DFT-relaxed cell (PBE, Alexandria), using Cu Kα X-rays.

Cell and atoms:
Cell: 7.737 9.879 7.109 Å, 90.00 90.00 90.00°
Sites, in units of the cell vectors:
Sr1 0.250 0.010 0.228
Sr2 0.250 0.490 0.228
Sr3 0.750 0.510 0.772
Sr4 0.750 0.990 0.772
Zn1 0.250 0.250 0.558
Zn2 0.750 0.750 0.442
Cd1 0.056 0.250 0.896
Cd2 0.066 0.750 0.556
Cd3 0.250 0.001 0.727
Cd4 0.250 0.499 0.727
Cd5 0.434 0.750 0.556
Cd6 0.444 0.250 0.896
Cd7 0.556 0.750 0.104
Cd8 0.566 0.250 0.444
Cd9 0.750 0.501 0.273
Cd10 0.750 0.999 0.273
Cd11 0.934 0.250 0.444
Cd12 0.944 0.750 0.104
Ag1 0.250 0.750 0.914
Ag2 0.750 0.250 0.086

Principal peaks in the range 5° ≤ 2θ ≤ 70°, in order of falling intensity:
| Position (°2θ) | d (Å) | I_rel |
| --- | --- | --- |
| 30.99 | 2.885 | 1000 |
| 36.38 | 2.470 | 665 |
| 29.32 | 3.046 | 663 |
| 38.22 | 2.355 | 582 |
| 35.48 | 2.530 | 465 |
| 16.94 | 5.235 | 383 |
| 46.51 | 1.952 | 333 |
| 34.26 | 2.617 | 287 |

***

Entry 12:
The following is a simulated powder diffractogram of CaHCl2. It was derived from a DFT-relaxed cell (PBE, Alexandria), using Cu Kα X-rays.

Cell and atoms:
Cell: 4.133 4.170 6.747 Å, 73.33 73.00 60.33°
Sites, in units of the cell vectors:
Ca1 0.000 0.000 0.000
H1 0.722 0.311 0.258
Cl1 0.240 0.287 0.245
Cl2 0.735 0.735 0.785

Principal peaks in the range 5° ≤ 2θ ≤ 70°, in order of falling intensity:
| Position (°2θ) | d (Å) | I_rel |
| --- | --- | --- |
| 13.93 | 6.357 | 1000 |
| 30.75 | 2.908 | 646 |
| 31.11 | 2.875 | 611 |
| 31.51 | 2.839 | 594 |
| 43.39 | 2.085 | 436 |
| 45.93 | 1.976 | 229 |
| 43.81 | 2.067 | 225 |
| 45.79 | 1.981 | 197 |